The following is a computed XRD peak list of RbVH4O2F4. It was derived from DFT lattice parameters and positions (GGA+U), using CuKα.

Structural model:
```
RbVH4O2F4
1.0
6.0140 -3.2445 0.0000
6.0140 3.2445 0.0000
-5.2250 0.0000 7.6898
Rb V H O F
2 2 8 4 8
Direct
0.2213 0.7787 0.7500 Rb
0.7787 0.2213 0.2500 Rb
0.0000 0.5000 0.0000 V
0.5000 0.0000 0.5000 V
0.2272 0.4108 0.3131 H
0.2342 0.6614 0.3424 H
0.3386 0.7658 0.1576 H
0.4108 0.2272 0.8131 H
0.5892 0.7728 0.1869 H
0.6614 0.2342 0.8424 H
0.7658 0.3386 0.6576 H
0.7728 0.5892 0.6869 H
0.2340 0.4981 0.2559 O
0.4981 0.2340 0.7559 O
0.5019 0.7660 0.2441 O
0.7660 0.5019 0.7441 O
0.0865 0.7456 0.0236 F
0.2350 0.2827 0.4187 F
0.2544 0.9135 0.4764 F
0.2827 0.2350 0.9187 F
0.7173 0.7650 0.0813 F
0.7456 0.0865 0.5236 F
0.7650 0.7173 0.5813 F
0.9135 0.2544 0.9764 F
```

Peak list (10 most intense, 2θ from 15° to 90°, by angle)
2θ (°), d/Å, I_rel
19.71, 4.504, 88
22.75, 3.909, 100
26.37, 3.380, 67
27.49, 3.245, 30
32.91, 2.722, 39
33.77, 2.654, 57
34.05, 2.633, 29
41.19, 2.191, 35
45.85, 1.979, 42
55.61, 1.653, 29

***

The following is a computed XRD peak list of Li2TiCo3O8. It was derived from DFT lattice parameters and positions (GGA+U), using CuKα.

Structural model:
```
Li2TiCo3O8
1.0
5.7470 0.0000 0.0000
-2.8576 5.0116 0.0000
-0.0480 -0.2526 9.3622
Li Ti Co O
4 2 6 16
Direct
0.0000 0.0000 0.0000 Li
0.0015 0.0097 0.4992 Li
0.3367 0.6788 0.3935 Li
0.6663 0.3317 0.9036 Li
0.3186 0.6483 0.0043 Ti
0.6667 0.3373 0.4977 Ti
0.1688 0.8336 0.7163 Co
0.1784 0.3500 0.7204 Co
0.3412 0.1742 0.2194 Co
0.6604 0.8456 0.7232 Co
0.8303 0.1735 0.2185 Co
0.8299 0.6630 0.2192 Co
0.0019 0.0049 0.3101 O
0.0226 0.0249 0.8083 O
0.0383 0.5050 0.8490 O
0.1583 0.8297 0.1052 O
0.1647 0.3307 0.1059 O
0.3155 0.6526 0.6134 O
0.3434 0.1942 0.5954 O
0.4718 0.5098 0.8441 O
0.4774 0.9635 0.8444 O
0.5261 0.0508 0.3403 O
0.5278 0.4940 0.3361 O
0.6651 0.3352 0.1161 O
0.6701 0.8299 0.1030 O
0.8406 0.6829 0.6016 O
0.8454 0.1875 0.6015 O
0.9631 0.4920 0.3356 O
```

Peak list (10 most intense, 2θ from 15° to 90°, by angle)
2θ (°), d/Å, I_rel
18.96, 4.681, 100
20.01, 4.438, 19
20.13, 4.412, 18
20.30, 4.374, 55
36.93, 2.434, 34
37.44, 2.402, 33
41.26, 2.188, 15
64.45, 1.446, 15
64.64, 1.442, 15
64.90, 1.437, 15

***

The following is a computed XRD peak list of Y6Fe16O. It was derived from DFT lattice parameters and positions (GGA+U), using CuKα.

Structural model:
```
Y6Fe16O
1.0
-4.7306 4.7306 4.7306
4.7306 -4.7306 4.7306
4.7306 4.7306 -4.7306
Y Fe O
6 16 1
Direct
0.0000 0.2626 0.2626 Y
0.0000 0.7374 0.7374 Y
0.2626 0.0000 0.2626 Y
0.2626 0.2626 0.0000 Y
0.7374 0.0000 0.7374 Y
0.7374 0.7374 0.0000 Y
0.0000 0.0000 0.5000 Fe
0.0000 0.3377 0.6623 Fe
0.0000 0.5000 0.0000 Fe
0.0000 0.6623 0.3377 Fe
0.3247 0.6623 0.6623 Fe
0.3377 0.0000 0.6623 Fe
0.3377 0.3377 0.6753 Fe
0.3377 0.6623 0.0000 Fe
0.3377 0.6753 0.3377 Fe
0.5000 0.0000 0.0000 Fe
0.5000 0.5000 0.5000 Fe
0.6623 0.0000 0.3377 Fe
0.6623 0.3247 0.6623 Fe
0.6623 0.3377 0.0000 Fe
0.6623 0.6623 0.3247 Fe
0.6753 0.3377 0.3377 Fe
0.0000 0.0000 0.0000 O
```

Peak list (10 most intense, 2θ from 15° to 90°, by angle)
2θ (°), d/Å, I_rel
29.86, 2.992, 17
32.79, 2.731, 36
35.50, 2.529, 44
38.04, 2.365, 26
40.45, 2.230, 100
54.89, 1.673, 11
60.30, 1.535, 17
65.43, 1.426, 29
73.56, 1.288, 11
82.90, 1.165, 11

***

What did the first record say?
The following is a computed XRD peak list of RbVH4O2F4. It was derived from DFT lattice parameters and positions (GGA+U), using CuKα.

Structural model:
```
RbVH4O2F4
1.0
6.0140 -3.2445 0.0000
6.0140 3.2445 0.0000
-5.2250 0.0000 7.6898
Rb V H O F
2 2 8 4 8
Direct
0.2213 0.7787 0.7500 Rb
0.7787 0.2213 0.2500 Rb
0.0000 0.5000 0.0000 V
0.5000 0.0000 0.5000 V
0.2272 0.4108 0.3131 H
0.2342 0.6614 0.3424 H
0.3386 0.7658 0.1576 H
0.4108 0.2272 0.8131 H
0.5892 0.7728 0.1869 H
0.6614 0.2342 0.8424 H
0.7658 0.3386 0.6576 H
0.7728 0.5892 0.6869 H
0.2340 0.4981 0.2559 O
0.4981 0.2340 0.7559 O
0.5019 0.7660 0.2441 O
0.7660 0.5019 0.7441 O
0.0865 0.7456 0.0236 F
0.2350 0.2827 0.4187 F
0.2544 0.9135 0.4764 F
0.2827 0.2350 0.9187 F
0.7173 0.7650 0.0813 F
0.7456 0.0865 0.5236 F
0.7650 0.7173 0.5813 F
0.9135 0.2544 0.9764 F
```

Peak list (10 most intense, 2θ from 15° to 90°, by angle)
2θ (°), d/Å, I_rel
19.71, 4.504, 88
22.75, 3.909, 100
26.37, 3.380, 67
27.49, 3.245, 30
32.91, 2.722, 39
33.77, 2.654, 57
34.05, 2.633, 29
41.19, 2.191, 35
45.85, 1.979, 42
55.61, 1.653, 29